This entry pairs a crystal structure of La6Al4Fe9As with its theoretical XRD peak list. Radiation: Cu Kα X-rays. Structure: a DFT-relaxed cell (PBE, Alexandria).
Intensities are scaled so that the largest is 100.

Principal peaks in the range 2θ = 10–90°, low angle first:
hkl, d/Å, Rel. int.
2 1 3, 3.312, 81
2 2 0, 2.886, 100
3 1 0, 2.585, 78
2 1 7, 2.471, 44
2 0 8, 2.383, 74
4 1 1, 1.976, 44

Structure:
a = 8.175 Å, b = 8.175 Å, c = 23.461 Å
α = 90.00°, β = 90.00°, γ = 90.00°
Space group I4/mcm (No. 140)
One atom of each set of equivalent atoms:
La: 0.000 0.000 0.107 [8 per cell]
La: 0.171 0.329 0.191 [16 per cell]
Al: 0.119 0.381 0.407 [16 per cell]
Fe: 0.000 0.500 0.000 [4 per cell]
Fe: 0.069 0.211 0.500 [16 per cell]
Fe: 0.175 0.325 0.057 [16 per cell]
As: 0.000 0.000 0.250 [4 per cell]


This entry pairs a crystal structure of La6Al3Fe10As with its theoretical XRD peak list. Radiation: Cu Kα X-rays. Structure: a DFT-relaxed cell (PBE, Alexandria).
Intensities are scaled so that the largest is 100.

Principal peaks in the range 2θ = 10–90°, low angle first:
hkl, d/Å, Rel. int.
3 1 3, 3.290, 100
1 3 5, 2.855, 48
2 2 6, 2.784, 50
2 4 0, 2.583, 65
4 2 0, 2.575, 49
2 2 8, 2.340, 85

Structure:
a = 11.508 Å, b = 11.563 Å, c = 22.854 Å
α = 90.00°, β = 90.00°, γ = 90.00°
Space group Fmm2 (No. 42)
One atom of each set of equivalent atoms:
La: 0.000 0.158 0.000 [8 per cell]
La: 0.000 0.173 0.374 [8 per cell]
La: 0.173 0.000 0.869 [8 per cell]
La: 0.182 0.000 0.498 [8 per cell]
La: 0.250 0.250 0.075 [8 per cell]
La: 0.250 0.250 0.286 [8 per cell]
Al: 0.000 0.118 0.590 [8 per cell]
Al: 0.000 0.120 0.774 [8 per cell]
Al: 0.118 0.000 0.274 [8 per cell]
Fe: 0.000 0.000 0.179 [4 per cell]
Fe: 0.000 0.000 0.682 [4 per cell]
Fe: 0.000 0.173 0.126 [8 per cell]
Fe: 0.000 0.175 0.235 [8 per cell]
Fe: 0.113 0.000 0.092 [8 per cell]
Fe: 0.115 0.178 0.681 [16 per cell]
Fe: 0.175 0.000 0.735 [8 per cell]
Fe: 0.178 0.110 0.180 [16 per cell]
Fe: 0.180 0.000 0.625 [8 per cell]
As: 0.250 0.250 0.431 [8 per cell]


This entry pairs a crystal structure of RbAlGaAs2 with its theoretical XRD peak list. Radiation: Cu Kα X-rays. Structure: a DFT-relaxed cell (PBE, Alexandria).
Intensities are scaled so that the largest is 100.

Principal peaks in the range 2θ = 10–90°, low angle first:
hkl, d/Å, Rel. int.
1 3 1, 3.277, 100
0 2 2, 3.016, 18
2 0 0, 2.970, 31
0 6 2, 1.964, 18
1 3 3, 1.905, 14
3 3 1, 1.769, 23

Structure:
a = 5.940 Å, b = 14.644 Å, c = 6.620 Å
α = 90.00°, β = 90.00°, γ = 90.00°
Space group Cmme (No. 67)
One atom of each set of equivalent atoms:
Rb: 0.000 0.250 0.242 [4 per cell]
Al: 0.250 0.000 0.500 [4 per cell]
Ga: 0.000 0.000 0.000 [4 per cell]
As: 0.000 0.103 0.708 [8 per cell]